1.
# AcLa5Au4
Calculated X-ray diffraction stick pattern, CuKα. Input: DFT lattice parameters and positions (PBE).

```
AcLa5Au4
1.0
3.787 0.000 0.000
0.000 3.787 0.000
0.000 0.000 20.647
Ac La Au
1 5 4
direct
0.000 0.000 0.000 Ac
0.500 0.500 0.135 La
0.500 0.500 0.316 La
0.500 0.500 0.500 La
0.500 0.500 0.684 La
0.500 0.500 0.865 La
0.000 0.000 0.224 Au
0.000 0.000 0.407 Au
0.000 0.000 0.593 Au
0.000 0.000 0.776 Au
```

Most intense lines, 2θ = 10–80°, by angle:
- 2θ 29.25, I 11
- 2θ 32.07, I 100
- 2θ 33.46, I 66
- 2θ 35.24, I 27
- 2θ 48.05, I 24
- 2θ 58.94, I 37
- 2θ 60.21, I 13
- 2θ 60.97, I 11
- 2θ 70.66, I 8
- 2θ 79.37, I 9


2.
# LiAcLaAu
Calculated X-ray diffraction stick pattern, CuKα. Input: DFT lattice parameters and positions (PBE).

```
LiAcLaAu
1.0
4.841 0.000 0.000
0.000 4.186 0.000
0.000 0.000 11.612
Li Ac La Au
2 2 2 2
direct
0.000 0.000 0.000 Li
0.000 0.500 0.500 Li
0.500 0.000 0.408 Ac
0.500 0.500 0.908 Ac
0.000 0.000 0.705 La
0.000 0.500 0.205 La
0.500 0.000 0.123 Au
0.500 0.500 0.623 Au
```

Most intense lines, 2θ = 10–80°, by angle:
- 2θ 18.33, I 37
- 2θ 23.93, I 25
- 2θ 29.23, I 100
- 2θ 30.80, I 23
- 2θ 31.48, I 55
- 2θ 36.08, I 32
- 2θ 36.67, I 42
- 2θ 37.14, I 27
- 2θ 43.22, I 18
- 2θ 49.46, I 32


3.
# AcLa2AuN
Calculated X-ray diffraction stick pattern, CuKα. Input: DFT lattice parameters and positions (PBE).

```
AcLa2AuN
1.0
5.026 0.000 0.000
0.000 5.026 0.000
0.000 0.000 5.358
Ac La Au N
1 2 1 1
direct
0.000 0.000 0.000 Ac
0.000 0.500 0.500 La
0.500 0.000 0.500 La
0.500 0.500 0.002 Au
0.000 0.000 0.500 N
```

Most intense lines, 2θ = 10–80°, by angle:
- 2θ 25.06, I 4
- 2θ 30.18, I 100
- 2θ 33.45, I 21
- 2θ 35.73, I 35
- 2θ 49.75, I 27
- 2θ 51.43, I 12
- 2θ 57.77, I 16
- 2θ 60.79, I 28
- 2θ 62.75, I 14
- 2θ 75.70, I 4


4.
# Ac2La2RuAu2
Calculated X-ray diffraction stick pattern, CuKα. Input: DFT lattice parameters and positions (PBE).

```
Ac2La2RuAu2
1.0
15.444 0.000 0.000
0.000 4.155 0.000
-2.966 0.000 6.918
Ac La Ru Au
4 4 2 4
direct
0.207 0.000 0.226 Ac
0.293 0.500 0.774 Ac
0.707 0.500 0.226 Ac
0.793 0.000 0.774 Ac
0.020 0.500 0.762 La
0.480 0.000 0.238 La
0.520 0.000 0.762 La
0.980 0.500 0.238 La
0.000 0.000 0.000 Ru
0.500 0.500 0.000 Ru
0.122 0.000 0.567 Au
0.378 0.500 0.433 Au
0.622 0.500 0.567 Au
0.878 0.000 0.433 Au
```

Most intense lines, 2θ = 10–80°, by angle:
- 2θ 23.76, I 46
- 2θ 27.02, I 55
- 2θ 28.05, I 50
- 2θ 28.59, I 100
- 2θ 32.33, I 84
- 2θ 32.58, I 73
- 2θ 33.29, I 50
- 2θ 34.45, I 41
- 2θ 36.24, I 65
- 2θ 43.57, I 45


5.
# Ac2LaSi3Au12
Calculated X-ray diffraction stick pattern, CuKα. Input: DFT lattice parameters and positions (PBE).

```
Ac2LaSi3Au12
1.0
4.442 2.564 6.619
-4.442 2.564 6.619
0.000 -5.129 6.619
Ac La Si Au
2 1 3 12
direct
0.099 0.099 0.099 Ac
0.901 0.901 0.901 Ac
0.500 0.500 0.500 La
0.000 0.500 0.500 Si
0.500 0.000 0.500 Si
0.500 0.500 0.000 Si
0.084 0.645 0.645 Au
0.186 0.186 0.641 Au
0.186 0.641 0.186 Au
0.355 0.355 0.916 Au
0.355 0.916 0.355 Au
0.359 0.814 0.814 Au
0.641 0.186 0.186 Au
0.645 0.084 0.645 Au
0.645 0.645 0.084 Au
0.814 0.359 0.814 Au
0.814 0.814 0.359 Au
0.916 0.355 0.355 Au
```

Most intense lines, 2θ = 10–80°, by angle:
- 2θ 23.56, I 17
- 2θ 24.13, I 19
- 2θ 29.37, I 93
- 2θ 32.07, I 60
- 2θ 32.40, I 100
- 2θ 40.62, I 100
- 2θ 40.90, I 24
- 2θ 52.89, I 21
- 2θ 59.01, I 38
- 2θ 61.94, I 27


6.
# Li7Ac3Au4
Calculated X-ray diffraction stick pattern, CuKα. Input: DFT lattice parameters and positions (PBE).

```
Li7Ac3Au4
1.0
8.448 -2.188 0.000
8.448 2.188 0.000
-6.218 0.000 8.788
Li Ac Au
7 3 4
direct
0.000 0.000 0.000 Li
0.163 0.163 0.924 Li
0.324 0.324 0.496 Li
0.485 0.485 0.200 Li
0.515 0.515 0.800 Li
0.676 0.676 0.504 Li
0.837 0.837 0.076 Li
0.000 0.000 0.500 Ac
0.303 0.303 0.787 Ac
0.697 0.697 0.213 Ac
0.105 0.105 0.317 Au
0.343 0.343 0.242 Au
0.657 0.657 0.758 Au
0.895 0.895 0.683 Au
```

Most intense lines, 2θ = 10–80°, by angle:
- 2θ 20.21, I 98
- 2θ 20.45, I 48
- 2θ 25.19, I 49
- 2θ 25.81, I 60
- 2θ 28.15, I 89
- 2θ 32.07, I 47
- 2θ 32.32, I 100
- 2θ 33.55, I 85
- 2θ 39.52, I 56
- 2θ 41.26, I 56


7.
# LiAc3Au
Calculated X-ray diffraction stick pattern, CuKα. Input: DFT lattice parameters and positions (PBE).

```
LiAc3Au
1.0
8.934 0.000 0.000
0.000 6.551 0.000
-1.853 0.000 11.864
Li Ac Au
4 12 4
direct
0.181 0.099 0.458 Li
0.181 0.401 0.958 Li
0.819 0.599 0.042 Li
0.819 0.901 0.542 Li
0.113 0.104 0.730 Ac
0.113 0.396 0.230 Ac
0.197 0.598 0.551 Ac
0.197 0.902 0.051 Ac
0.462 0.653 0.846 Ac
0.462 0.847 0.346 Ac
0.538 0.153 0.654 Ac
0.538 0.347 0.154 Ac
0.803 0.098 0.949 Ac
0.803 0.402 0.449 Ac
0.887 0.604 0.770 Ac
0.887 0.896 0.270 Ac
0.425 0.162 0.902 Au
0.425 0.338 0.402 Au
0.575 0.662 0.598 Au
0.575 0.838 0.098 Au
```

Most intense lines, 2θ = 10–80°, by angle:
- 2θ 10.02, I 28
- 2θ 24.52, I 28
- 2θ 26.95, I 100
- 2θ 28.27, I 74
- 2θ 30.27, I 38
- 2θ 30.38, I 27
- 2θ 33.16, I 40
- 2θ 35.63, I 41
- 2θ 36.07, I 37
- 2θ 42.86, I 33


8.
# Li4Ac5Au4
Calculated X-ray diffraction stick pattern, CuKα. Input: DFT lattice parameters and positions (PBE).

```
Li4Ac5Au4
1.0
-6.456 6.456 2.143
6.456 -6.456 2.143
6.456 6.456 -2.143
Li Ac Au
4 5 4
direct
0.072 0.405 0.477 Li
0.405 0.928 0.334 Li
0.595 0.072 0.666 Li
0.928 0.595 0.523 Li
0.124 0.785 0.908 Ac
0.215 0.124 0.339 Ac
0.500 0.500 0.000 Ac
0.785 0.876 0.661 Ac
0.876 0.215 0.092 Ac
0.238 0.563 0.801 Au
0.437 0.238 0.675 Au
0.563 0.762 0.325 Au
0.762 0.437 0.199 Au
```

Most intense lines, 2θ = 10–80°, by angle:
- 2θ 25.89, I 80
- 2θ 29.40, I 100
- 2θ 30.97, I 72
- 2θ 32.58, I 66
- 2θ 35.48, I 82
- 2θ 40.76, I 32
- 2θ 42.17, I 28
- 2θ 53.23, I 32
- 2θ 56.12, I 27
- 2θ 61.83, I 37


9.
# LiAc3Au3
Calculated X-ray diffraction stick pattern, CuKα. Input: DFT lattice parameters and positions (PBE).

```
LiAc3Au3
1.0
4.252 0.000 0.000
0.000 4.628 0.000
0.000 0.000 20.856
Li Ac Au
2 6 6
direct
0.000 0.000 0.000 Li
0.500 0.500 0.500 Li
0.000 0.000 0.428 Ac
0.000 0.500 0.257 Ac
0.000 0.500 0.621 Ac
0.500 0.000 0.121 Ac
0.500 0.000 0.757 Ac
0.500 0.500 0.928 Ac
0.000 0.000 0.878 Au
0.000 0.500 0.071 Au
0.000 0.500 0.782 Au
0.500 0.000 0.282 Au
0.500 0.000 0.571 Au
0.500 0.500 0.378 Au
```

Most intense lines, 2θ = 10–80°, by angle:
- 2θ 25.63, I 35
- 2θ 29.79, I 100
- 2θ 30.01, I 43
- 2θ 33.38, I 64
- 2θ 35.85, I 34
- 2θ 38.71, I 26
- 2θ 38.92, I 33
- 2θ 42.53, I 26
- 2θ 49.92, I 22
- 2θ 52.88, I 23


10.
# Li2AcAu6
Calculated X-ray diffraction stick pattern, CuKα. Input: DFT lattice parameters and positions (PBE).

```
Li2AcAu6
1.0
5.588 0.000 0.000
-2.794 4.839 0.000
0.000 0.000 7.807
Li Ac Au
2 1 6
direct
0.333 0.667 0.000 Li
0.667 0.333 0.000 Li
0.000 0.000 0.500 Ac
0.000 0.500 0.280 Au
0.000 0.500 0.720 Au
0.500 0.000 0.280 Au
0.500 0.000 0.720 Au
0.500 0.500 0.280 Au
0.500 0.500 0.720 Au
```

Most intense lines, 2θ = 10–80°, by angle:
- 2θ 11.33, I 50
- 2θ 22.78, I 44
- 2θ 29.40, I 63
- 2θ 37.16, I 100
- 2θ 39.67, I 30
- 2θ 44.03, I 50
- 2θ 55.48, I 22
- 2θ 60.99, I 29
- 2θ 66.99, I 19
- 2θ 71.98, I 21


11.
# Li2AcAuN
Calculated X-ray diffraction stick pattern, CuKα. Input: DFT lattice parameters and positions (PBE).

```
Li2AcAuN
1.0
-3.149 3.149 5.111
3.149 -3.149 5.111
3.149 3.149 -5.111
Li Ac Au N
4 2 2 2
direct
0.248 0.748 0.996 Li
0.252 0.248 0.500 Li
0.748 0.752 0.500 Li
0.752 0.252 0.004 Li
0.250 0.250 0.000 Ac
0.750 0.750 0.000 Ac
0.252 0.752 0.500 Au
0.752 0.252 0.500 Au
0.001 0.001 0.000 N
0.501 0.501 0.000 N
```

Most intense lines, 2θ = 10–80°, by angle:
- 2θ 17.35, I 100
- 2θ 28.35, I 74
- 2θ 33.43, I 93
- 2θ 35.12, I 23
- 2θ 40.52, I 32
- 2θ 44.38, I 39
- 2θ 45.73, I 41
- 2θ 54.68, I 27
- 2θ 69.21, I 24
- 2θ 77.38, I 18


12.
# LiAcPd2Au
Calculated X-ray diffraction stick pattern, CuKα. Input: DFT lattice parameters and positions (PBE).

```
LiAcPd2Au
1.0
4.107 0.000 0.000
0.000 4.107 0.000
0.000 0.000 12.667
Li Ac Pd Au
2 2 4 2
direct
0.000 0.000 0.000 Li
0.500 0.500 0.500 Li
0.000 0.500 0.750 Ac
0.500 0.000 0.250 Ac
0.000 0.500 0.144 Pd
0.000 0.500 0.356 Pd
0.500 0.000 0.644 Pd
0.500 0.000 0.856 Pd
0.000 0.000 0.500 Au
0.500 0.500 0.000 Au
```

Most intense lines, 2θ = 10–80°, by angle:
- 2θ 22.76, I 47
- 2θ 30.36, I 79
- 2θ 30.79, I 16
- 2θ 33.96, I 100
- 2θ 41.90, I 56
- 2θ 44.10, I 44
- 2θ 54.48, I 31
- 2θ 62.45, I 35
- 2θ 64.13, I 15
- 2θ 74.59, I 21


13.
# Li2AcPd2Au
Calculated X-ray diffraction stick pattern, CuKα. Input: DFT lattice parameters and positions (PBE).

```
Li2AcPd2Au
1.0
4.545 0.000 0.000
0.000 4.545 0.000
0.000 0.000 6.015
Li Ac Pd Au
2 1 2 1
direct
0.000 0.500 0.000 Li
0.500 0.000 0.000 Li
0.000 0.000 0.500 Ac
0.500 0.500 0.264 Pd
0.500 0.500 0.736 Pd
0.000 0.000 0.000 Au
```

Most intense lines, 2θ = 10–80°, by angle:
- 2θ 19.53, I 21
- 2θ 27.76, I 95
- 2θ 35.80, I 100
- 2θ 39.66, I 39
- 2θ 54.49, I 60
- 2θ 57.34, I 14
- 2θ 64.88, I 18
- 2θ 68.95, I 14
- 2θ 69.47, I 15
- 2θ 75.87, I 11


14.
# Li2Ac3Pr2Au4
Calculated X-ray diffraction stick pattern, CuKα. Input: DFT lattice parameters and positions (PBE).

```
Li2Ac3Pr2Au4
1.0
4.820 0.000 0.000
-2.410 4.174 0.000
0.000 0.000 15.918
Li Ac Pr Au
2 3 2 4
direct
0.333 0.667 0.129 Li
0.667 0.333 0.871 Li
0.000 0.000 0.000 Ac
0.000 0.000 0.247 Ac
0.000 0.000 0.753 Ac
0.333 0.667 0.576 Pr
0.667 0.333 0.424 Pr
0.333 0.667 0.353 Au
0.333 0.667 0.879 Au
0.667 0.333 0.121 Au
0.667 0.333 0.647 Au
```

Most intense lines, 2θ = 10–80°, by angle:
- 2θ 22.02, I 20
- 2θ 24.08, I 40
- 2θ 27.18, I 18
- 2θ 31.05, I 100
- 2θ 37.32, I 72
- 2θ 40.28, I 17
- 2θ 49.31, I 28
- 2θ 60.33, I 13
- 2θ 63.43, I 27
- 2θ 67.30, I 13